Record 1
The following is a calculated X-ray powder pattern of TmMg2H6. It was derived from the PBE geometry in OQMD, using Cu Ka.

Crystal structure
Cell lengths 3.486, 3.486, 7.882 Å; angles 90.00, 90.00, 90.00 degrees
Space group P4/mmm (No. 123)
Symmetry-distinct sites (fractional):
Tm 0.000 0.000 0.000 x1
Mg 0.500 0.500 0.278 x2
H 0.000 0.500 0.182 x4
H 0.500 0.500 0.000 x1
H 0.500 0.500 0.500 x1

Peak list (10 most intense, 10° ≤ 2θ ≤ 90°, by angle)
d 7.882, intensity 100.0
d 3.486, intensity 14.6
d 3.188, intensity 58.8
d 2.611, intensity 50.1
d 2.465, intensity 22.0
d 2.353, intensity 20.2
d 2.098, intensity 11.9
d 1.798, intensity 14.2
d 1.530, intensity 13.5
d 1.450, intensity 16.4

Record 2
The following is a calculated X-ray powder pattern of Mg7ZrH16. It was derived from the PBE geometry in OQMD, using Cu Ka.

Crystal structure
Cell lengths 9.382, 9.382, 9.382 Å; angles 90.00, 90.00, 90.00 degrees
Space group Fm-3m (No. 225)
Symmetry-distinct sites (fractional):
Mg 0.000 0.000 0.000 x4
Mg 0.000 0.250 0.250 x24
Zr 0.000 0.000 0.500 x4
H 0.124 0.124 0.376 x32
H 0.126 0.126 0.126 x32

Peak list (10 most intense, 10° ≤ 2θ ≤ 90°, by angle)
d 5.417, intensity 34.7
d 4.691, intensity 18.5
d 3.317, intensity 15.7
d 2.829, intensity 20.5
d 2.708, intensity 100.0
d 2.346, intensity 41.9
d 2.152, intensity 9.2
d 1.659, intensity 36.0
d 1.414, intensity 37.3
d 1.354, intensity 9.9

Record 3
The following is a calculated X-ray powder pattern of MoH3. It was derived from the PBE geometry in OQMD, using Cu Ka.

Crystal structure
Cell lengths 6.886, 6.886, 4.227 Å; angles 90.00, 90.00, 90.00 degrees
Space group I4/m (No. 87)
Symmetry-distinct sites (fractional):
Mo 0.094 0.695 0.000 x8
H 0.068 0.646 0.500 x8
H 0.098 0.180 0.269 x16

Peak list (10 most intense, 10° ≤ 2θ ≤ 90°, by angle)
d 4.869, intensity 21.9
d 3.602, intensity 15.1
d 2.489, intensity 100.0
d 2.177, intensity 32.6
d 2.114, intensity 14.5
d 1.540, intensity 12.2
d 1.517, intensity 21.3
d 1.309, intensity 25.0
d 1.281, intensity 11.9
d 1.244, intensity 11.5

Record 4
The following is a calculated X-ray powder pattern of MoH2. It was derived from the PBE geometry in OQMD, using Cu Ka.

Crystal structure
Cell lengths 3.1434, 3.1434, 4.8417 Å; angles 90.00, 90.00, 120.00 degrees
Space group P6_3mc (No. 186)
Symmetry-distinct sites (fractional):
Mo 0.3333 0.6667 0.0000 x2
H 0.0000 0.0000 0.1156 x2
H 0.3333 0.6667 0.3773 x2

Peak list (10 most intense, 10° ≤ 2θ ≤ 90°, by angle)
d 2.722, intensity 24.5
d 2.421, intensity 24.2
d 2.373, intensity 100.0
d 1.809, intensity 14.4
d 1.572, intensity 18.7
d 1.388, intensity 18.0
d 1.318, intensity 20.1
d 1.310, intensity 14.6
d 1.186, intensity 3.6
d 1.106, intensity 3.1

Record 5
The following is a calculated X-ray powder pattern of Sr2NiMoH6. It was derived from the PBE geometry in OQMD, using Cu Ka.

Crystal structure
Cell lengths 5.3475, 5.3475, 27.7630 Å; angles 90.00, 90.00, 120.00 degrees
Space group R-3m (No. 166, hexagonal axes)
Symmetry-distinct sites (fractional):
Sr 0.0000 0.0000 0.1223 x6
Sr 0.0000 0.0000 0.2916 x6
Ni 0.0000 0.0000 0.0000 x3
Ni 0.0000 0.0000 0.5000 x3
Mo 0.0000 0.0000 0.4114 x6
H 0.0181 0.5090 0.7057 x18
H 0.0211 0.5105 0.1210 x18

Peak list (10 most intense, 10° ≤ 2θ ≤ 90°, by angle)
d 3.012, intensity 53.4
d 2.674, intensity 100.0
d 2.381, intensity 32.9
d 2.000, intensity 17.3
d 1.778, intensity 13.8
d 1.601, intensity 15.8
d 1.544, intensity 18.0
d 1.540, intensity 10.6
d 1.481, intensity 14.4
d 1.337, intensity 11.4

Record 6
The following is a calculated X-ray powder pattern of NdH10S3N3O11. It was derived from the PBE geometry in OQMD, using Cu Ka.

Crystal structure
Cell lengths 7.672, 8.780, 9.084 Å; angles 118.00, 94.46, 91.75 degrees
Space group P-1 (No. 2)
Symmetry-distinct sites (fractional):
Nd 0.226 0.373 0.211 x2
H 0.124 0.982 0.328 x2
H 0.130 0.229 0.619 x2
H 0.185 0.442 0.750 x2
H 0.285 0.015 0.139 x2
H 0.306 0.014 0.960 x2
H 0.324 0.899 0.329 x2
H 0.327 0.315 0.869 x2
H 0.392 0.791 0.769 x2
H 0.397 0.919 0.680 x2
H 0.487 0.661 0.017 x2
S 0.138 0.727 0.105 x2
S 0.138 0.773 0.624 x2
S 0.394 0.318 0.586 x2
N 0.222 0.915 0.257 x2
N 0.230 0.320 0.694 x2
N 0.322 0.876 0.745 x2
O 0.030 0.232 0.950 x2
O 0.035 0.742 0.738 x2
O 0.065 0.892 0.570 x2
O 0.114 0.605 0.173 x2
O 0.178 0.609 0.484 x2
O 0.264 0.671 0.979 x2
O 0.317 0.086 0.084 x2
O 0.325 0.283 0.417 x2
O 0.384 0.332 0.980 x2
O 0.480 0.494 0.685 x2
O 0.500 0.181 0.579 x2

Peak list (10 most intense, 10° ≤ 2θ ≤ 90°, by angle)
d 7.730, intensity 100.0
d 7.642, intensity 37.2
d 5.825, intensity 91.7
d 3.818, intensity 50.6
d 3.559, intensity 51.7
d 3.450, intensity 75.3
d 3.388, intensity 88.4
d 3.321, intensity 39.0
d 2.913, intensity 33.5
d 2.700, intensity 45.0

Record 7
The following is a calculated X-ray powder pattern of H4OsNO4. It was derived from the PBE geometry in OQMD, using Cu Ka.

Crystal structure
Cell lengths 5.821, 5.821, 11.993 Å; angles 90.00, 90.00, 90.00 degrees
Space group I4_1/a (No. 88, origin choice 2)
Symmetry-distinct sites (fractional):
H 0.049 0.115 0.176 x16
Os 0.000 0.250 0.625 x4
N 0.000 0.250 0.125 x4
O 0.142 0.463 0.703 x16

Peak list (10 most intense, 10° ≤ 2θ ≤ 90°, by angle)
d 5.237, intensity 100.0
d 3.394, intensity 91.6
d 3.295, intensity 32.6
d 2.911, intensity 18.7
d 2.544, intensity 26.5
d 2.182, intensity 16.3
d 2.088, intensity 24.7
d 1.798, intensity 12.4
d 1.764, intensity 12.7
d 1.760, intensity 23.0